Sr3Te4O11: computed powder diffraction line list (Cu Kα X-rays), based on DFT lattice parameters and positions (PBE).
Intensities are scaled so that the largest is 100.

Cell and atoms:
a b c (Å): 7.6760 9.4208 9.7497
angles (deg): 98.11 110.22 101.28
Space group P-1 (No. 2)
Inequivalent atoms, fractional coordinates:
Sr (0.1379, 0.4191, 0.1775) (multiplicity 2)
Sr (0.2933, 0.5398, 0.6163) (multiplicity 2)
Sr (0.3101, 0.0329, 0.1213) (multiplicity 2)
Te (0.0138, 0.7501, 0.2719) (multiplicity 2)
Te (0.0759, 0.8583, 0.7035) (multiplicity 2)
Te (0.4635, 0.1986, 0.5464) (multiplicity 2)
Te (0.4991, 0.6921, 0.0380) (multiplicity 2)
O (0.0096, 0.9360, 0.8625) (multiplicity 2)
O (0.0259, 0.6445, 0.0988) (multiplicity 2)
O (0.0477, 0.6050, 0.3864) (multiplicity 2)
O (0.1690, 0.2833, 0.4052) (multiplicity 2)
O (0.1953, 0.7212, 0.7985) (multiplicity 2)
O (0.2972, 0.3588, 0.8090) (multiplicity 2)
O (0.3056, 0.8624, 0.3337) (multiplicity 2)
O (0.3942, 0.3153, 0.1099) (multiplicity 2)
O (0.4306, 0.0997, 0.8941) (multiplicity 2)
O (0.4391, 0.5947, 0.3713) (multiplicity 2)
O (0.4773, 0.8052, 0.6244) (multiplicity 2)

The 12 most intense peaks (5 to 70 degrees two-theta), most intense first:
| d_spacing | Position (°2θ) | I (rel.) | index |
| --- | --- | --- | --- |
| 3.140 | 28.4 | 100 | -1 2 2 |
| 3.229 | 27.6 | 92 | 1 0 2 |
| 3.185 | 28.0 | 85 | 2 -2 0 |
| 3.060 | 29.2 | 80 | 0 3 -1 |
| 3.153 | 28.3 | 75 | 1 1 -3 |
| 3.260 | 27.4 | 62 | 2 1 -1 |
| 2.201 | 41.0 | 38 | 1 -3 3 |
| 2.241 | 40.2 | 36 | 1 3 1 |
| 4.650 | 19.1 | 32 | 1 0 -2 |
| 2.282 | 39.5 | 28 | -3 1 3 |
| 1.893 | 48.1 | 25 | 3 1 1 |
| 3.475 | 25.6 | 25 | 2 0 0 |